For Li3MgIr, DFT lattice parameters and positions (PBE) gives the theoretical XRD peak list in this record (a wavelength of 1.5418 Å).
Lines closer than 0.1° are merged.

Largest 10 diffraction maxima, in order of falling intensity, 2θ from 5° to 70°:
| Position (°2θ) | I (rel.) | hkl |
| --- | --- | --- |
| 10.69 | 100.0 | 0 1 1 |
| 21.23 | 79.5 | 1 0 1 |
| 41.23 | 50.8 | 0 5 3 |
| 12.31 | 48.4 | 0 2 0 |
| 26.93 | 48.0 | 1 1 2 |
| 41.09 | 46.1 | 1 5 2 |
| 27.15 | 37.6 | 0 1 3 |
| 43.51 | 22.6 | 1 6 1 |
| 32.84 | 21.8 | 1 4 1 |
| 24.61 | 17.8 | 1 2 1 |

Structure:
abc: 4.597 14.382 10.119
angles: 90.00 90.00 90.00
Space group Imma (No. 74)
Symmetry-distinct sites (fractional):
Li1 0.000 0.042 0.110 [8 per cell]
Li2 0.000 0.068 0.673 [8 per cell]
Li3 0.000 0.135 0.434 [8 per cell]
Mg1 0.000 0.250 0.142 [4 per cell]
Mg2 0.000 0.250 0.663 [4 per cell]
Ir1 0.000 0.158 0.912 [8 per cell]

For LiMg4Ir, DFT lattice parameters and positions (PBE) gives the theoretical XRD peak list in this record (a wavelength of 1.5418 Å).
Lines closer than 0.1° are merged.

Largest 10 diffraction maxima, in order of falling intensity, 2θ from 5° to 70°:
| Position (°2θ) | I (rel.) | hkl |
| --- | --- | --- |
| 12.10 | 100.0 | 0 0 1 |
| 23.50 | 73.1 | 1 0 1 |
| 20.06 | 47.3 | 1 0 0 |
| 37.84 | 44.7 | 1 1 -2 |
| 31.75 | 30.8 | 1 0 2 |
| 31.09 | 22.7 | 1 1 -1 |
| 47.60 | 22.6 | 1 2 1 |
| 47.27 | 20.9 | 1 1 3 |
| 40.78 | 20.4 | 2 0 0 |
| 42.69 | 18.6 | 2 0 1 |

Structure:
abc: 4.427 4.424 7.312
angles: 90.00 90.01 90.00
Space group Pm (No. 6)
Symmetry-distinct sites (fractional):
Li1 0.000 0.000 0.000 [1 per cell]
Mg1 0.000 0.500 0.296 [1 per cell]
Mg2 0.499 0.000 0.704 [1 per cell]
Mg3 0.500 0.000 0.296 [1 per cell]
Mg4 0.999 0.500 0.704 [1 per cell]
Ir1 0.500 0.500 0.500 [1 per cell]

For Li2MgIr2, DFT lattice parameters and positions (PBE) gives the theoretical XRD peak list in this record (a wavelength of 1.5418 Å).
Lines closer than 0.1° are merged.

Largest 10 diffraction maxima, in order of falling intensity, 2θ from 5° to 70°:
| Position (°2θ) | I (rel.) | hkl |
| --- | --- | --- |
| 42.20 | 100.0 | 2 1 1 |
| 23.31 | 91.7 | 0 0 1 |
| 34.67 | 76.9 | 2 1 0 |
| 39.08 | 59.1 | 2 0 1 |
| 30.91 | 35.2 | 2 0 0 |
| 60.27 | 31.9 | 2 1 2 |
| 47.67 | 20.5 | 0 0 2 |
| 66.65 | 20.0 | 4 1 0 |
| 49.84 | 14.8 | 3 1 0 |
| 57.90 | 12.3 | 2 0 2 |

Structure:
abc: 5.786 5.786 3.816
angles: 90.00 90.00 90.00
Space group P4/mbm (No. 127)
Symmetry-distinct sites (fractional):
Li1 0.119 0.381 0.000 [4 per cell]
Mg1 0.000 0.000 0.000 [2 per cell]
Ir1 0.179 0.679 0.500 [4 per cell]

For Li4Mg5Ir, DFT lattice parameters and positions (PBE) gives the theoretical XRD peak list in this record (a wavelength of 1.5418 Å).
Lines closer than 0.1° are merged.

Largest 10 diffraction maxima, in order of falling intensity, 2θ from 5° to 70°:
| Position (°2θ) | I (rel.) | hkl |
| --- | --- | --- |
| 9.98 | 100.0 | 0 0 2 |
| 37.48 | 51.5 | 1 0 5 |
| 14.99 | 42.8 | 0 0 3 |
| 27.83 | 33.8 | 1 0 1 |
| 29.19 | 29.7 | 1 0 2 |
| 20.03 | 26.3 | 0 0 4 |
| 39.09 | 24.9 | 1 1 0 |
| 31.34 | 23.3 | 1 0 3 |
| 41.24 | 18.5 | 1 0 6 |
| 69.76 | 16.3 | 2 1 5 |

Structure:
abc: 3.259 3.259 17.729
angles: 90.00 90.00 90.00
Space group P4/mmm (No. 123)
Symmetry-distinct sites (fractional):
Li1 0.000 0.000 0.105 [2 per cell]
Li2 0.000 0.000 0.318 [2 per cell]
Mg1 0.500 0.500 0.000 [1 per cell]
Mg2 0.500 0.500 0.211 [2 per cell]
Mg3 0.500 0.500 0.419 [2 per cell]
Ir1 0.000 0.000 0.500 [1 per cell]

For LiPuMgIr, DFT lattice parameters and positions (PBE) gives the theoretical XRD peak list in this record (a wavelength of 1.5418 Å).
Lines closer than 0.1° are merged.

Largest 9 diffraction maxima, in order of falling intensity, 2θ from 5° to 70°:
| Position (°2θ) | I (rel.) | hkl |
| --- | --- | --- |
| 37.94 | 100.0 | 2 2 0 |
| 22.96 | 88.6 | 1 1 1 |
| 44.81 | 47.5 | 3 1 1 |
| 68.52 | 36.3 | 4 2 2 |
| 60.12 | 20.3 | 3 3 1 |
| 54.73 | 17.7 | 4 0 0 |
| 26.57 | 2.6 | 2 0 0 |
| 61.85 | 1.1 | 4 2 0 |
| 46.92 | 0.8 | 2 2 2 |

Structure:
abc: 6.708 6.708 6.708
angles: 90.00 90.00 90.00
Space group F-43m (No. 216)
Symmetry-distinct sites (fractional):
Li1 0.000 0.000 0.000 [4 per cell]
Pu1 0.250 0.250 0.750 [4 per cell]
Mg1 0.250 0.250 0.250 [4 per cell]
Ir1 0.000 0.000 0.500 [4 per cell]